Simulated powder diffractogram of Li9Mn2Co5O16 for a wavelength of 1.5418 Å, from the GGA+U geometry in Alexandria.

Main lines, by angle (10° ≤ 2θ ≤ 90°):
2θ/deg, intensity, hkl
18.5, 100, 0 0 2
36.4, 25, 1 2 -1
36.9, 12, 2 0 0
38.0, 7, 1 2 1
43.9, 52, 1 2 -3
44.6, 25, 2 0 2
48.2, 8, 1 2 3
57.9, 10, 1 2 -5
63.7, 20, 2 0 -6
65.0, 14, 3 2 -1

Cell and atoms:
```
data_Li9Mn2Co5O16
_symmetry_space_group_name_H-M 'P 1'
_symmetry_Int_Tables_number 1
_cell_length_a 4.951
_cell_length_b 5.814
_cell_length_c 9.753
_cell_angle_alpha 90.00
_cell_angle_beta 100.11
_cell_angle_gamma 90.00
loop_
_symmetry_equiv_pos_as_xyz
'x,y,z'
loop_
_atom_site_label
_atom_site_fract_x
_atom_site_fract_y
_atom_site_fract_z
Li1 0.000 0.000 0.000
Li2 0.238 0.000 0.769
Li3 0.247 0.242 0.236
Li4 0.248 0.762 0.235
Li5 0.258 0.506 0.762
Li6 0.742 0.506 0.238
Li7 0.752 0.762 0.765
Li8 0.753 0.242 0.764
Li9 0.762 0.000 0.231
Mn1 0.000 0.250 0.500
Mn2 0.000 0.510 0.000
Co1 0.000 0.749 0.500
Co2 0.500 0.236 0.000
Co3 0.500 0.499 0.500
Co4 0.500 0.752 0.000
Co5 0.500 0.999 0.500
O1 0.132 0.008 0.389
O2 0.132 0.489 0.390
O3 0.134 0.271 0.887
O4 0.134 0.739 0.886
O5 0.362 0.511 0.114
O6 0.368 0.748 0.602
O7 0.369 0.249 0.606
O8 0.394 0.991 0.118
O9 0.606 0.991 0.882
O10 0.631 0.249 0.394
O11 0.632 0.748 0.398
O12 0.638 0.511 0.886
O13 0.866 0.271 0.113
O14 0.866 0.739 0.114
O15 0.868 0.008 0.611
O16 0.868 0.489 0.610
```